Structure and computed XRD peak list of BeCr2PbF8 (a DFT-relaxed cell (PBE+U, Alexandria); Cu Kα (weighted mean of Kα1 and Kα2)).
Neutral-atom scattering factors, no anomalous dispersion.

Top 10 peaks for 5 to 70 degrees two-theta, sorted by position:
(hkl)  2theta  Rel. int.
0 0 1  12.9  86
0 1 0  18.2  46
1 0 -1  23.3  42
0 1 -1  23.4  43
1 1 0  24.7  100
1 -1 0  27.0  83
0 1 2  30.2  57
1 0 2  30.5  54
1 2 -1  43.7  53
1 1 -3  50.1  39

Structure:
Unit cell a=4.909 b=4.940 c=6.935 alpha=83.59 beta=84.48 gamma=84.41
Space group P-1 (No. 2)
Symmetry-distinct sites (fractional):
Be (0.000, 0.000, 0.000) x1
Cr (0.462, 0.462, 0.773) x2
Pb (0.000, 0.000, 0.500) x1
F (0.192, 0.793, 0.806) x2
F (0.198, 0.802, 0.198) x2
F (0.236, 0.225, 0.966) x2
F (0.342, 0.327, 0.459) x2